Calculated powder diffractogram
Compound: Li2Ni3SbO8
Radiation: Cu Kα X-rays
Structure: a structure optimized by DFT (GGA+U)
Lines closer than 0.1° are merged.

Top 12 peaks for 10° ≤ 2θ ≤ 90°, in order of rising 2θ:
17.93°, I = 7.2, (0 0 6); 18.48°, I = 100.0, (0 1 2); 35.01°, I = 20.9, (1 0 10); 35.61°, I = 33.2, (1 1 6); 37.46°, I = 15.9, (0 2 4); 43.19°, I = 51.3, (2 0 8); 47.81°, I = 11.4, (1 2 2); 57.17°, I = 12.4, (2 1 10); 57.58°, I = 8.3, (3 0 6); 61.95°, I = 16.1, (0 2 16); 63.50°, I = 15.3, (2 2 0); 64.87°, I = 6.6, (1 1 18)

Lattice parameters (Å, degrees): 5.8601 5.8601 29.6909 90.00 90.00 120.00
Space group R-3c (No. 167, hexagonal axes)
One atom of each set of equivalent atoms:
1 Li 0.0000 0.0000 0.0641 [12 per cell]
2 Ni 0.0000 0.5000 0.0000 [18 per cell]
3 Sb 0.0000 0.0000 0.2500 [6 per cell]
4 O 0.0000 0.0000 0.1355 [12 per cell]
5 O 0.0262 0.4929 0.3739 [36 per cell]